Record 1
Diffraction record for DyEr6Th3. The powder diffraction line list is computed, not measured: it uses a GGA-PBE-relaxed structure and Cu Kα (λ = 1.5418 Å).
Peak positions follow from Bragg's law for the DFT cell and can differ from measured ones.

Crystal structure
Unit cell a=13.0422 b=3.4961 c=14.5777 alpha=90.00 beta=108.42 gamma=90.00
Positions (direct):
Dy 0.0808 0.2500 0.1969
Dy 0.9192 0.7500 0.8031
Er 0.1405 0.7500 0.0132
Er 0.1556 0.2500 0.8089
Er 0.2148 0.2500 0.6008
Er 0.2597 0.7500 0.4028
Er 0.3392 0.2500 0.2241
Er 0.3932 0.7500 0.7903
Er 0.6068 0.2500 0.2097
Er 0.6608 0.7500 0.7759
Er 0.7403 0.2500 0.5972
Er 0.7852 0.7500 0.3992
Er 0.8444 0.7500 0.1910
Er 0.8595 0.2500 0.9868
Th 0.0068 0.2500 0.3949
Th 0.3846 0.2500 0.0041
Th 0.4654 0.2500 0.5904
Th 0.5346 0.7500 0.4096
Th 0.6154 0.7500 0.9959
Th 0.9932 0.7500 0.6051

Most intense lines, 2θ = 10–80°, in order of rising 2θ:
- 29.0°, d = 3.075 Å, rel. 24
- 30.5°, d = 2.928 Å, rel. 26
- 31.6°, d = 2.835 Å, rel. 99
- 32.2°, d = 2.784 Å, rel. 100
- 32.4°, d = 2.766 Å, rel. 79
- 32.6°, d = 2.744 Å, rel. 44
- 32.9°, d = 2.724 Å, rel. 25
- 34.0°, d = 2.639 Å, rel. 33
- 52.3°, d = 1.748 Å, rel. 27
- 62.4°, d = 1.488 Å, rel. 24
- 62.8°, d = 1.480 Å, rel. 24
- 62.9°, d = 1.478 Å, rel. 24


Record 2
Diffraction record for PuSbO. The powder diffraction line list is computed, not measured: it uses a GGA-PBE-relaxed structure and Cu Kα (λ = 1.5418 Å).
Peak positions follow from Bragg's law for the DFT cell and can differ from measured ones.

Crystal structure
Unit cell a=7.4473 b=6.8257 c=9.0236 alpha=53.92 beta=47.79 gamma=78.29
Positions (direct):
Pu 0.1354 0.8646 0.2737
Pu 0.5237 0.9763 0.3854
Pu 0.8646 0.1354 0.7263
Pu 0.9763 0.5237 0.1146
Sb 0.1226 0.4409 0.7200
Sb 0.4409 0.1226 0.7166
Sb 0.5300 0.5334 0.1274
Sb 0.5334 0.5300 0.8091
O 0.1200 0.9084 0.7163
O 0.5337 0.9946 0.1300
O 0.9084 0.1200 0.2554
O 0.9946 0.5337 0.3416

Most intense lines, 2θ = 10–80°, in order of rising 2θ:
- 19.8°, d = 4.485 Å, rel. 36
- 25.3°, d = 3.514 Å, rel. 25
- 27.0°, d = 3.300 Å, rel. 100
- 30.5°, d = 2.934 Å, rel. 80
- 30.9°, d = 2.898 Å, rel. 81
- 33.0°, d = 2.711 Å, rel. 48
- 34.3°, d = 2.611 Å, rel. 69
- 37.0°, d = 2.428 Å, rel. 38
- 40.6°, d = 2.225 Å, rel. 47
- 45.0°, d = 2.015 Å, rel. 21
- 52.0°, d = 1.757 Å, rel. 23
- 52.6°, d = 1.741 Å, rel. 21


Record 3
Diffraction record for PrGa2Au2. The powder diffraction line list is computed, not measured: it uses a GGA-PBE-relaxed structure and Cu Kα (λ = 1.5418 Å).
Peak positions follow from Bragg's law for the DFT cell and can differ from measured ones.

Crystal structure
Unit cell a=6.0553 b=6.0553 c=6.0553 alpha=136.28 beta=136.28 gamma=63.55
Positions (direct):
Pr 0.0000 0.0000 0.0000
Ga 0.3805 0.3805 0.0000
Ga 0.6195 0.6195 0.0000
Au 0.2500 0.7500 0.5000
Au 0.7500 0.2500 0.5000

Most intense lines, 2θ = 10–80°, in order of rising 2θ:
- 17.2°, d = 5.148 Å, rel. 23
- 32.8°, d = 2.731 Å, rel. 19
- 33.0°, d = 2.711 Å, rel. 100
- 34.9°, d = 2.574 Å, rel. 11
- 40.0°, d = 2.255 Å, rel. 47
- 45.3°, d = 2.003 Å, rel. 22
- 52.6°, d = 1.739 Å, rel. 10
- 54.1°, d = 1.696 Å, rel. 13
- 57.8°, d = 1.594 Å, rel. 16
- 61.4°, d = 1.511 Å, rel. 15
- 68.2°, d = 1.374 Å, rel. 25
- 76.3°, d = 1.247 Å, rel. 10


Record 4
Diffraction record for BeFeB. The powder diffraction line list is computed, not measured: it uses a GGA-PBE-relaxed structure and Cu Kα (λ = 1.5418 Å).
Peak positions follow from Bragg's law for the DFT cell and can differ from measured ones.

Crystal structure
Unit cell a=2.6485 b=2.9288 c=6.2067 alpha=90.00 beta=102.32 gamma=90.00
Positions (direct):
Be 0.2063 0.2500 0.4138
Be 0.7937 0.7500 0.5862
Fe 0.4028 0.2500 0.8056
Fe 0.5972 0.7500 0.1944
B 0.0412 0.2500 0.0824
B 0.9588 0.7500 0.9176

Most intense lines, 2θ = 10–80°, in order of rising 2θ:
- 14.6°, d = 6.064 Å, rel. 89
- 29.5°, d = 3.032 Å, rel. 45
- 34.0°, d = 2.637 Å, rel. 100
- 34.7°, d = 2.588 Å, rel. 62
- 42.9°, d = 2.106 Å, rel. 29
- 44.8°, d = 2.021 Å, rel. 24
- 46.9°, d = 1.939 Å, rel. 56
- 51.1°, d = 1.789 Å, rel. 55
- 51.7°, d = 1.767 Å, rel. 80
- 55.2°, d = 1.664 Å, rel. 17
- 63.5°, d = 1.464 Å, rel. 16
- 72.8°, d = 1.299 Å, rel. 16


Record 5
Diffraction record for Sm13Sc3. The powder diffraction line list is computed, not measured: it uses a GGA-PBE-relaxed structure and Cu Kα (λ = 1.5418 Å).
Peak positions follow from Bragg's law for the DFT cell and can differ from measured ones.

Crystal structure
Unit cell a=7.2418 b=8.4617 c=8.4617 alpha=84.78 beta=90.00 gamma=90.00
Positions (direct):
Sm 0.0000 0.0000 0.0000
Sm 0.0000 0.4338 0.9140
Sm 0.0000 0.5051 0.5051
Sm 0.0000 0.9140 0.4338
Sm 0.2510 0.2494 0.2494
Sm 0.2536 0.1641 0.6760
Sm 0.2536 0.6760 0.1641
Sm 0.5000 0.4242 0.9153
Sm 0.5000 0.5061 0.5061
Sm 0.5000 0.9153 0.4242
Sm 0.7464 0.1641 0.6760
Sm 0.7464 0.6760 0.1641
Sm 0.7490 0.2494 0.2494
Sc 0.2549 0.7578 0.7578
Sc 0.5000 0.9962 0.9962
Sc 0.7451 0.7578 0.7578

Most intense lines, 2θ = 10–80°, in order of rising 2θ:
- 28.5°, d = 3.130 Å, rel. 25
- 31.4°, d = 2.852 Å, rel. 24
- 32.6°, d = 2.744 Å, rel. 100
- 42.9°, d = 2.108 Å, rel. 16
- 50.4°, d = 1.810 Å, rel. 8
- 50.5°, d = 1.806 Å, rel. 13
- 56.6°, d = 1.625 Å, rel. 20
- 60.6°, d = 1.529 Å, rel. 7
- 60.7°, d = 1.526 Å, rel. 14
- 61.4°, d = 1.511 Å, rel. 10
- 61.5°, d = 1.507 Å, rel. 6
- 79.2°, d = 1.209 Å, rel. 5


Record 6
Diffraction record for TbMnBe17. The powder diffraction line list is computed, not measured: it uses a GGA-PBE-relaxed structure and Cu Kα (λ = 1.5418 Å).
Peak positions follow from Bragg's law for the DFT cell and can differ from measured ones.

Crystal structure
Unit cell a=5.6662 b=5.6662 c=5.6662 alpha=83.18 beta=83.18 gamma=83.18
Positions (direct):
Tb 0.0000 0.0000 0.0000
Mn 0.3300 0.3300 0.3300
Be 0.0059 0.0059 0.4965
Be 0.0059 0.4965 0.0059
Be 0.1547 0.6610 0.6610
Be 0.3185 0.3185 0.7992
Be 0.3185 0.7992 0.3185
Be 0.3705 0.6513 0.9521
Be 0.3705 0.9521 0.6513
Be 0.4965 0.0059 0.0059
Be 0.5561 0.5561 0.5561
Be 0.6513 0.3705 0.9521
Be 0.6513 0.9521 0.3705
Be 0.6610 0.1547 0.6610
Be 0.6610 0.6610 0.1547
Be 0.7510 0.7510 0.7510
Be 0.7992 0.3185 0.3185
Be 0.9521 0.3705 0.6513
Be 0.9521 0.6513 0.3705

Most intense lines, 2θ = 10–80°, in order of rising 2θ:
- 15.8°, d = 5.594 Å, rel. 100
- 21.2°, d = 4.184 Å, rel. 57
- 23.7°, d = 3.761 Å, rel. 95
- 24.5°, d = 3.639 Å, rel. 30
- 28.6°, d = 3.121 Å, rel. 31
- 32.0°, d = 2.797 Å, rel. 23
- 34.3°, d = 2.615 Å, rel. 93
- 37.4°, d = 2.402 Å, rel. 31
- 40.2°, d = 2.245 Å, rel. 25
- 41.6°, d = 2.172 Å, rel. 33
- 48.4°, d = 1.881 Å, rel. 27
- 48.8°, d = 1.865 Å, rel. 49


Record 7
Diffraction record for La2Pr6HoMg. The powder diffraction line list is computed, not measured: it uses a GGA-PBE-relaxed structure and Cu Kα (λ = 1.5418 Å).
Peak positions follow from Bragg's law for the DFT cell and can differ from measured ones.

Crystal structure
Unit cell a=8.8160 b=8.8160 c=10.1296 alpha=96.20 beta=96.20 gamma=115.63
Positions (direct):
La 0.2012 0.2871 0.0530
La 0.2871 0.2012 0.5530
La 0.7129 0.7988 0.4470
La 0.7988 0.7129 0.9470
Pr 0.0036 0.5789 0.1913
Pr 0.1214 0.7442 0.5506
Pr 0.2558 0.8786 0.9494
Pr 0.3031 0.4954 0.3859
Pr 0.4211 0.9964 0.3087
Pr 0.4954 0.3031 0.8859
Pr 0.5046 0.6969 0.1141
Pr 0.5789 0.0036 0.6913
Pr 0.6969 0.5046 0.6141
Pr 0.7442 0.1214 0.0506
Pr 0.8786 0.2558 0.4494
Pr 0.9964 0.4211 0.8087
Ho 0.0093 0.9907 0.2500
Ho 0.9907 0.0093 0.7500
Mg 0.4009 0.5991 0.7500
Mg 0.5991 0.4009 0.2500

Most intense lines, 2θ = 10–80°, in order of rising 2θ:
- 26.5°, d = 3.369 Å, rel. 14
- 27.4°, d = 3.254 Å, rel. 11
- 28.5°, d = 3.135 Å, rel. 41
- 29.3°, d = 3.047 Å, rel. 49
- 29.5°, d = 3.023 Å, rel. 32
- 31.0°, d = 2.882 Å, rel. 34
- 31.5°, d = 2.842 Å, rel. 100
- 31.6°, d = 2.830 Å, rel. 19
- 32.3°, d = 2.771 Å, rel. 54
- 36.0°, d = 2.492 Å, rel. 25
- 49.8°, d = 1.830 Å, rel. 10
- 61.1°, d = 1.516 Å, rel. 10


Record 8
Diffraction record for Tb2CePr6Dy. The powder diffraction line list is computed, not measured: it uses a GGA-PBE-relaxed structure and Cu Kα (λ = 1.5418 Å).
Peak positions follow from Bragg's law for the DFT cell and can differ from measured ones.

Crystal structure
Unit cell a=6.6992 b=6.6992 c=8.9254 alpha=101.27 beta=101.27 gamma=64.30
Positions (direct):
Tb 0.0919 0.0919 0.1624
Tb 0.9081 0.9081 0.8376
Ce 0.5000 0.5000 0.0000
Pr 0.0621 0.5941 0.2041
Pr 0.3737 0.3737 0.5831
Pr 0.4059 0.9379 0.7959
Pr 0.5941 0.0621 0.2041
Pr 0.6263 0.6263 0.4169
Pr 0.9379 0.4059 0.7959
Dy 0.0000 0.0000 0.5000

Most intense lines, 2θ = 10–80°, in order of rising 2θ:
- 26.8°, d = 3.323 Å, rel. 40
- 29.0°, d = 3.084 Å, rel. 34
- 29.8°, d = 2.994 Å, rel. 60
- 30.3°, d = 2.947 Å, rel. 100
- 30.7°, d = 2.915 Å, rel. 43
- 30.9°, d = 2.895 Å, rel. 30
- 31.1°, d = 2.872 Å, rel. 48
- 32.5°, d = 2.756 Å, rel. 60
- 32.6°, d = 2.744 Å, rel. 48
- 32.8°, d = 2.728 Å, rel. 41
- 34.2°, d = 2.619 Å, rel. 38
- 55.3°, d = 1.662 Å, rel. 31


Record 9
Diffraction record for Tl3HI3. The powder diffraction line list is computed, not measured: it uses a GGA-PBE-relaxed structure and Cu Kα (λ = 1.5418 Å).
Peak positions follow from Bragg's law for the DFT cell and can differ from measured ones.

Crystal structure
Unit cell a=8.2671 b=8.2671 c=8.5818 alpha=94.45 beta=94.45 gamma=110.86
Positions (direct):
Tl 0.0187 0.0187 0.2966
Tl 0.1459 0.4667 0.7687
Tl 0.4667 0.1459 0.7687
Tl 0.5333 0.8541 0.2313
Tl 0.8541 0.5333 0.2313
Tl 0.9813 0.9813 0.7034
H 0.2333 0.2333 0.2705
H 0.7667 0.7667 0.7295
I 0.1706 0.8294 0.0000
I 0.2353 0.7647 0.5000
I 0.3866 0.3866 0.1256
I 0.6134 0.6134 0.8744
I 0.7647 0.2353 0.5000
I 0.8294 0.1706 0.0000

Most intense lines, 2θ = 10–80°, in order of rising 2θ:
- 14.6°, d = 6.047 Å, rel. 28
- 24.8°, d = 3.595 Å, rel. 100
- 29.6°, d = 3.023 Å, rel. 96
- 31.3°, d = 2.858 Å, rel. 45
- 32.4°, d = 2.762 Å, rel. 30
- 32.6°, d = 2.746 Å, rel. 23
- 33.5°, d = 2.677 Å, rel. 16
- 37.5°, d = 2.396 Å, rel. 20
- 38.8°, d = 2.322 Å, rel. 20
- 39.8°, d = 2.267 Å, rel. 27
- 55.0°, d = 1.670 Å, rel. 16
- 57.2°, d = 1.610 Å, rel. 16


Record 10
Diffraction record for Tb5NdTl. The powder diffraction line list is computed, not measured: it uses a GGA-PBE-relaxed structure and Cu Kα (λ = 1.5418 Å).
Peak positions follow from Bragg's law for the DFT cell and can differ from measured ones.

Crystal structure
Unit cell a=7.1132 b=7.1132 c=7.1132 alpha=127.10 beta=125.18 gamma=79.67
Positions (direct):
Tb 0.0000 0.0000 0.0000
Tb 0.4725 0.2144 0.7419
Tb 0.4725 0.7306 0.2581
Tb 0.5205 0.2528 0.2678
Tb 0.9850 0.2528 0.7322
Nd 0.1233 0.6233 0.5000
Tl 0.7242 0.7242 0.0000

Most intense lines, 2θ = 10–80°, in order of rising 2θ:
- 27.2°, d = 3.275 Å, rel. 18
- 28.0°, d = 3.183 Å, rel. 31
- 28.2°, d = 3.161 Å, rel. 42
- 31.8°, d = 2.810 Å, rel. 100
- 32.4°, d = 2.759 Å, rel. 57
- 32.7°, d = 2.741 Å, rel. 43
- 32.8°, d = 2.731 Å, rel. 26
- 38.4°, d = 2.342 Å, rel. 21
- 39.7°, d = 2.273 Å, rel. 27
- 40.2°, d = 2.245 Å, rel. 20
- 52.2°, d = 1.751 Å, rel. 23
- 66.6°, d = 1.405 Å, rel. 17


Record 11
Diffraction record for Sc5GaFe. The powder diffraction line list is computed, not measured: it uses a GGA-PBE-relaxed structure and Cu Kα (λ = 1.5418 Å).
Peak positions follow from Bragg's law for the DFT cell and can differ from measured ones.

Crystal structure
Unit cell a=5.3506 b=5.3506 c=10.8623 alpha=102.93 beta=102.93 gamma=77.71
Positions (direct):
Sc 0.0085 0.9915 0.7500
Sc 0.0816 0.4131 0.6237
Sc 0.2023 0.5402 0.9330
Sc 0.4131 0.0816 0.1237
Sc 0.4598 0.7977 0.5670
Sc 0.5402 0.2023 0.4330
Sc 0.5869 0.9184 0.8763
Sc 0.7977 0.4598 0.0670
Sc 0.9184 0.5869 0.3763
Sc 0.9915 0.0085 0.2500
Ga 0.4005 0.5995 0.2500
Ga 0.5995 0.4005 0.7500
Fe 0.0000 0.0000 0.0000
Fe 0.0000 0.0000 0.5000

Most intense lines, 2θ = 10–80°, in order of rising 2θ:
- 22.0°, d = 4.049 Å, rel. 30
- 22.3°, d = 3.991 Å, rel. 18
- 31.9°, d = 2.802 Å, rel. 19
- 33.7°, d = 2.656 Å, rel. 47
- 34.4°, d = 2.609 Å, rel. 70
- 34.9°, d = 2.567 Å, rel. 92
- 35.4°, d = 2.538 Å, rel. 100
- 37.3°, d = 2.412 Å, rel. 56
- 41.9°, d = 2.155 Å, rel. 34
- 44.0°, d = 2.056 Å, rel. 25
- 44.6°, d = 2.033 Å, rel. 21
- 53.1°, d = 1.726 Å, rel. 18


Record 12
Diffraction record for LaTlGe2Br8. The powder diffraction line list is computed, not measured: it uses a GGA-PBE-relaxed structure and Cu Kα (λ = 1.5418 Å).
Peak positions follow from Bragg's law for the DFT cell and can differ from measured ones.

Crystal structure
Unit cell a=6.7957 b=7.2945 c=9.3595 alpha=86.12 beta=87.30 gamma=86.64
Positions (direct):
La 0.0000 0.0000 0.0000
Tl 0.0000 0.0000 0.5000
Ge 0.4616 0.4637 0.7499
Ge 0.5384 0.5363 0.2501
Br 0.2370 0.8165 0.7762
Br 0.2507 0.3300 0.9699
Br 0.2639 0.8466 0.2253
Br 0.2731 0.3590 0.5538
Br 0.7269 0.6410 0.4462
Br 0.7361 0.1534 0.7747
Br 0.7493 0.6700 0.0301
Br 0.7630 0.1835 0.2238

Most intense lines, 2θ = 10–80°, in order of rising 2θ:
- 17.4°, d = 5.100 Å, rel. 100
- 18.4°, d = 4.824 Å, rel. 84
- 23.6°, d = 3.767 Å, rel. 49
- 26.4°, d = 3.374 Å, rel. 69
- 26.7°, d = 3.333 Å, rel. 77
- 27.2°, d = 3.279 Å, rel. 88
- 33.3°, d = 2.690 Å, rel. 55
- 35.7°, d = 2.515 Å, rel. 43
- 37.3°, d = 2.412 Å, rel. 42
- 38.6°, d = 2.332 Å, rel. 45
- 40.8°, d = 2.209 Å, rel. 46
- 43.2°, d = 2.095 Å, rel. 43


Record 13
Diffraction record for PmY2Th3S6. The powder diffraction line list is computed, not measured: it uses a GGA-PBE-relaxed structure and Cu Kα (λ = 1.5418 Å).
Peak positions follow from Bragg's law for the DFT cell and can differ from measured ones.

Crystal structure
Unit cell a=6.8266 b=6.8266 c=7.0659 alpha=99.22 beta=99.22 gamma=119.58
Positions (direct):
Pm 0.0000 0.0000 0.0000
Y 0.3330 0.6670 0.0000
Y 0.6670 0.3330 0.0000
Th 0.1636 0.8364 0.5000
Th 0.5000 0.5000 0.5000
Th 0.8364 0.1636 0.5000
S 0.0800 0.4197 0.2400
S 0.2612 0.2612 0.7641
S 0.4197 0.0800 0.2400
S 0.5803 0.9200 0.7600
S 0.7388 0.7388 0.2359
S 0.9200 0.5803 0.7600

Most intense lines, 2θ = 10–80°, in order of rising 2θ:
- 13.2°, d = 6.698 Å, rel. 17
- 26.6°, d = 3.349 Å, rel. 23
- 27.4°, d = 3.256 Å, rel. 21
- 27.6°, d = 3.229 Å, rel. 41
- 31.6°, d = 2.827 Å, rel. 100
- 44.6°, d = 2.033 Å, rel. 13
- 44.9°, d = 2.020 Å, rel. 25
- 45.9°, d = 1.979 Å, rel. 24
- 46.2°, d = 1.967 Å, rel. 12
- 57.0°, d = 1.615 Å, rel. 13
- 66.1°, d = 1.414 Å, rel. 12
- 74.4°, d = 1.275 Å, rel. 11